# 1
Diffraction record for LiLaPm. The XRD peak list is theoretical, not measured: it uses a DFT-relaxed cell (PBE, Alexandria) and Cu Ka.
Intensities are scaled so that the largest is 100.

Crystal structure
Cell: 5.232 5.231 13.491 Å, 90.00 90.00 90.00°
Space group C2/m (No. 12)
Inequivalent atoms, fractional coordinates:
Li 0.250 0.000 0.048
La 0.249 0.000 0.784
Pm 0.250 0.000 0.405

Top 12 peaks for 2θ from 10° to 80°, by angle:
d/Å  2θ (°)  intensity  (hkl)
6.746  13.12  13  0 0 2
3.243  27.50  76  1 1 -2
2.857  31.31  100  1 1 3
2.698  33.20  23  0 0 5
2.616  34.28  49  2 0 0
1.878  48.47  31  2 0 -5
1.850  49.27  18  2 2 0
1.705  53.76  10  2 0 6
1.607  57.35  20  3 1 -2
1.553  59.54  33  3 1 3
1.534  60.32  19  1 1 8
1.526  60.71  16  2 2 -5

# 2
Diffraction record for Li2La2PrTl2. The XRD peak list is theoretical, not measured: it uses a DFT-relaxed cell (PBE, Alexandria) and Cu Ka.
Intensities are scaled so that the largest is 100.

Crystal structure
Cell: 4.9052 4.9052 27.5452 Å, 90.00 90.00 120.00°
Space group R-3m (No. 166, hexagonal axes)
Inequivalent atoms, fractional coordinates:
Li 0.0000 0.0000 0.0973
La 0.0000 0.0000 0.3636
Pr 0.0000 0.0000 0.5000
Tl 0.0000 0.0000 0.2347

Top 12 peaks for 2θ from 10° to 80°, by angle:
d/Å  2θ (°)  intensity  (hkl)
4.198  21.16  45  1 0 1
4.059  21.90  43  0 1 2
3.615  24.62  23  1 0 4
2.887  30.98  99  1 0 7
2.675  33.50  82  0 1 8
2.453  36.64  100  1 1 0
1.869  48.72  28  0 2 7
1.808  50.49  26  2 0 8
1.487  62.47  27  2 1 7
1.470  63.26  40  1 1 15
1.455  63.98  25  1 2 8
1.416  65.97  18  3 0 0